Entry 1:
Starting from a GGA-PBE-relaxed structure, the XRD peak list of Na9Sn4 was simulated for Cu Kα (λ = 1.5418 Å).
No peak broadening, texture or thermal motion is included.

Most intense lines, 2θ from 10° to 90°, low angle first:
| two_theta | I (rel.) |
| --- | --- |
| 19.04 | 41 |
| 19.75 | 83 |
| 30.90 | 18 |
| 32.85 | 100 |
| 33.43 | 43 |
| 36.07 | 41 |
| 41.28 | 26 |
| 47.56 | 19 |
| 49.58 | 17 |
| 58.65 | 19 |
| 59.01 | 18 |
| 60.76 | 19 |

Structure:
Lattice parameters (Å, degrees): 5.453 5.453 29.302 90.00 90.00 120.00
Sites, in units of the cell vectors:
Na  0.000  0.000  0.176
Na  0.000  0.000  0.324
Na  0.000  0.000  0.676
Na  0.000  0.000  0.824
Na  0.333  0.667  0.020
Na  0.333  0.667  0.136
Na  0.333  0.667  0.250
Na  0.333  0.667  0.364
Na  0.333  0.667  0.480
Na  0.333  0.667  0.592
Na  0.333  0.667  0.908
Na  0.667  0.333  0.092
Na  0.667  0.333  0.408
Na  0.667  0.333  0.520
Na  0.667  0.333  0.636
Na  0.667  0.333  0.750
Na  0.667  0.333  0.864
Na  0.667  0.333  0.980
Sn  0.000  0.000  0.051
Sn  0.000  0.000  0.449
Sn  0.000  0.000  0.551
Sn  0.000  0.000  0.949
Sn  0.333  0.667  0.701
Sn  0.333  0.667  0.799
Sn  0.667  0.333  0.201
Sn  0.667  0.333  0.299


Entry 2:
Starting from a GGA-PBE-relaxed structure, the XRD peak list of Ta10Al6B was simulated for Cu Kα (λ = 1.5418 Å).
No peak broadening, texture or thermal motion is included.

Most intense lines, 2θ from 10° to 90°, low angle first:
| two_theta | I (rel.) |
| --- | --- |
| 22.68 | 18 |
| 26.24 | 38 |
| 28.33 | 51 |
| 34.96 | 57 |
| 36.44 | 46 |
| 39.00 | 100 |
| 39.82 | 35 |
| 41.16 | 76 |
| 58.60 | 27 |
| 62.69 | 26 |
| 64.05 | 23 |
| 65.30 | 30 |

Structure:
Lattice parameters (Å, degrees): 7.842 7.842 5.292 90.00 90.00 120.00
Sites, in units of the cell vectors:
Ta  0.000  0.239  0.258
Ta  0.000  0.761  0.742
Ta  0.239  0.000  0.258
Ta  0.239  0.239  0.742
Ta  0.333  0.667  0.000
Ta  0.333  0.667  0.500
Ta  0.667  0.333  0.000
Ta  0.667  0.333  0.500
Ta  0.761  0.000  0.742
Ta  0.761  0.761  0.258
Al  0.000  0.401  0.752
Al  0.000  0.599  0.248
Al  0.401  0.000  0.752
Al  0.401  0.401  0.248
Al  0.599  0.000  0.248
Al  0.599  0.599  0.752
B  0.000  0.000  0.000


Entry 3:
Starting from a GGA-PBE-relaxed structure, the XRD peak list of UH12S2O15 was simulated for Cu Kα (λ = 1.5418 Å).
No peak broadening, texture or thermal motion is included.

Most intense lines, 2θ from 10° to 90°, low angle first:
| two_theta | I (rel.) |
| --- | --- |
| 12.37 | 100 |
| 14.30 | 56 |
| 16.03 | 74 |
| 21.48 | 17 |
| 22.77 | 19 |
| 24.94 | 51 |
| 25.83 | 61 |
| 26.02 | 16 |
| 27.96 | 25 |
| 28.67 | 19 |
| 28.83 | 20 |
| 36.31 | 14 |

Structure:
Lattice parameters (Å, degrees): 6.958 6.958 14.851 102.75 102.75 68.18
Sites, in units of the cell vectors:
U  0.229  0.771  0.750
U  0.771  0.229  0.250
H  0.005  0.760  0.441
H  0.129  0.304  0.085
H  0.192  0.208  0.983
H  0.208  0.192  0.483
H  0.222  0.530  0.406
H  0.240  0.995  0.059
H  0.263  0.728  0.479
H  0.272  0.737  0.021
H  0.304  0.129  0.585
H  0.320  0.544  0.217
H  0.456  0.680  0.283
H  0.470  0.778  0.094
H  0.530  0.222  0.906
H  0.544  0.320  0.717
H  0.680  0.456  0.783
H  0.696  0.871  0.415
H  0.728  0.263  0.979
H  0.737  0.272  0.521
H  0.760  0.005  0.941
H  0.778  0.470  0.594
H  0.792  0.808  0.517
H  0.808  0.792  0.017
H  0.871  0.696  0.915
H  0.995  0.240  0.559
S  0.113  0.344  0.811
S  0.344  0.113  0.311
S  0.656  0.887  0.689
S  0.887  0.656  0.189
O  0.089  0.542  0.154
O  0.111  0.140  0.753
O  0.140  0.111  0.253
O  0.141  0.180  0.035
O  0.143  0.468  0.748
O  0.171  0.689  0.424
O  0.180  0.141  0.535
O  0.188  0.727  0.624
O  0.273  0.812  0.876
O  0.284  0.312  0.893
O  0.311  0.829  0.076
O  0.312  0.284  0.393
O  0.458  0.911  0.346
O  0.462  0.538  0.250
O  0.468  0.143  0.248
O  0.532  0.857  0.752
O  0.538  0.462  0.750
O  0.542  0.089  0.654
O  0.688  0.716  0.607
O  0.689  0.171  0.924
O  0.716  0.688  0.107
O  0.727  0.188  0.124
O  0.812  0.273  0.376
O  0.820  0.859  0.465
O  0.829  0.311  0.576
O  0.857  0.532  0.252
O  0.859  0.820  0.965
O  0.860  0.889  0.747
O  0.889  0.860  0.247
O  0.911  0.458  0.846


Entry 4:
Starting from a GGA-PBE-relaxed structure, the XRD peak list of Ba2TbCl7 was simulated for Cu Kα (λ = 1.5418 Å).
No peak broadening, texture or thermal motion is included.

Most intense lines, 2θ from 10° to 90°, low angle first:
| two_theta | I (rel.) |
| --- | --- |
| 18.90 | 21 |
| 21.25 | 100 |
| 21.68 | 42 |
| 21.95 | 24 |
| 22.93 | 21 |
| 25.76 | 28 |
| 33.10 | 21 |
| 34.19 | 42 |
| 35.25 | 39 |
| 35.53 | 34 |
| 37.85 | 25 |
| 42.88 | 28 |

Structure:
Lattice parameters (Å, degrees): 6.918 15.727 10.643 90.00 90.77 90.00
Sites, in units of the cell vectors:
Ba  0.234  0.061  0.324
Ba  0.234  0.439  0.824
Ba  0.234  0.720  0.451
Ba  0.234  0.780  0.951
Ba  0.766  0.220  0.049
Ba  0.766  0.280  0.549
Ba  0.766  0.561  0.176
Ba  0.766  0.939  0.676
Tb  0.282  0.127  0.781
Tb  0.282  0.373  0.281
Tb  0.718  0.627  0.719
Tb  0.718  0.873  0.219
Cl  0.011  0.243  0.302
Cl  0.011  0.257  0.802
Cl  0.013  0.105  0.586
Cl  0.013  0.395  0.086
Cl  0.205  0.540  0.287
Cl  0.205  0.960  0.787
Cl  0.209  0.140  0.028
Cl  0.209  0.360  0.528
Cl  0.370  0.571  0.624
Cl  0.370  0.929  0.124
Cl  0.499  0.228  0.294
Cl  0.499  0.272  0.794
Cl  0.500  0.104  0.571
Cl  0.500  0.396  0.071
Cl  0.500  0.604  0.929
Cl  0.500  0.896  0.429
Cl  0.501  0.728  0.206
Cl  0.501  0.772  0.706
Cl  0.630  0.071  0.876
Cl  0.630  0.429  0.376
Cl  0.791  0.640  0.472
Cl  0.791  0.860  0.972
Cl  0.795  0.040  0.213
Cl  0.795  0.460  0.713
Cl  0.987  0.605  0.914
Cl  0.987  0.895  0.414
Cl  0.989  0.743  0.198
Cl  0.989  0.757  0.698


Entry 5:
Starting from a GGA-PBE-relaxed structure, the XRD peak list of CsTb2Cu3Se5 was simulated for Cu Kα (λ = 1.5418 Å).
No peak broadening, texture or thermal motion is included.

Most intense lines, 2θ from 10° to 90°, low angle first:
| two_theta | I (rel.) |
| --- | --- |
| 28.18 | 81 |
| 28.64 | 100 |
| 30.00 | 74 |
| 30.64 | 88 |
| 34.97 | 67 |
| 37.48 | 52 |
| 38.92 | 37 |
| 39.90 | 31 |
| 42.11 | 31 |
| 43.61 | 67 |
| 46.25 | 71 |
| 54.24 | 35 |

Structure:
Lattice parameters (Å, degrees): 7.640 7.640 17.507 90.00 90.00 148.48
Sites, in units of the cell vectors:
Cs  0.061  0.939  0.750
Cs  0.939  0.061  0.250
Tb  0.192  0.808  0.091
Tb  0.192  0.808  0.409
Tb  0.808  0.192  0.591
Tb  0.808  0.192  0.909
Cu  0.341  0.659  0.750
Cu  0.415  0.585  0.030
Cu  0.415  0.585  0.470
Cu  0.585  0.415  0.530
Cu  0.585  0.415  0.970
Cu  0.659  0.341  0.250
Se  0.167  0.833  0.570
Se  0.167  0.833  0.930
Se  0.238  0.762  0.250
Se  0.440  0.560  0.612
Se  0.440  0.560  0.888
Se  0.560  0.440  0.112
Se  0.560  0.440  0.388
Se  0.762  0.238  0.750
Se  0.833  0.167  0.070
Se  0.833  0.167  0.430


Entry 6:
Starting from a GGA-PBE-relaxed structure, the XRD peak list of Ba2In2O5 was simulated for Cu Kα (λ = 1.5418 Å).
No peak broadening, texture or thermal motion is included.

Most intense lines, 2θ from 10° to 90°, low angle first:
| two_theta | I (rel.) |
| --- | --- |
| 29.25 | 100 |
| 29.45 | 43 |
| 41.55 | 13 |
| 42.14 | 27 |
| 51.75 | 16 |
| 52.12 | 39 |
| 60.67 | 16 |
| 61.11 | 8 |
| 69.17 | 8 |
| 83.64 | 8 |
| 84.13 | 8 |
| 84.43 | 10 |

Structure:
Lattice parameters (Å, degrees): 6.066 6.066 6.105 60.23 60.23 90.00
Sites, in units of the cell vectors:
Ba  0.000  0.000  0.000
Ba  0.497  0.500  0.003
In  0.263  0.766  0.466
In  0.726  0.229  0.541
O  0.485  0.491  0.511
O  0.493  0.993  0.005
O  0.495  0.999  0.503
O  0.991  0.502  0.500
O  0.993  0.994  0.510


Entry 7:
Starting from a GGA-PBE-relaxed structure, the XRD peak list of Lu2Cr2C3 was simulated for Cu Kα (λ = 1.5418 Å).
No peak broadening, texture or thermal motion is included.

Most intense lines, 2θ from 10° to 90°, low angle first:
| two_theta | I (rel.) |
| --- | --- |
| 20.71 | 40 |
| 27.99 | 42 |
| 28.69 | 39 |
| 33.73 | 46 |
| 34.84 | 100 |
| 35.00 | 20 |
| 35.89 | 40 |
| 38.90 | 90 |
| 43.10 | 27 |
| 43.37 | 18 |
| 53.67 | 21 |
| 56.19 | 31 |

Structure:
Lattice parameters (Å, degrees): 5.477 5.477 5.472 105.99 105.99 34.78
Sites, in units of the cell vectors:
Lu  0.110  0.110  0.316
Lu  0.890  0.890  0.684
Cr  0.346  0.346  0.115
Cr  0.654  0.654  0.885
C  0.222  0.222  0.761
C  0.500  0.500  0.000
C  0.778  0.778  0.239


Entry 8:
Starting from a GGA-PBE-relaxed structure, the XRD peak list of CeSe2 was simulated for Cu Kα (λ = 1.5418 Å).
No peak broadening, texture or thermal motion is included.

Most intense lines, 2θ from 10° to 90°, low angle first:
| two_theta | I (rel.) |
| --- | --- |
| 12.19 | 100 |
| 12.62 | 99 |
| 17.58 | 28 |
| 19.32 | 18 |
| 21.44 | 77 |
| 29.59 | 21 |
| 32.79 | 37 |
| 34.46 | 20 |
| 37.13 | 13 |
| 40.54 | 17 |
| 42.75 | 21 |
| 43.28 | 21 |

Structure:
Lattice parameters (Å, degrees): 11.025 11.025 11.025 97.58 97.58 137.41
Sites, in units of the cell vectors:
Ce  0.554  0.050  0.152
Ce  0.598  0.446  0.497
Ce  0.899  0.402  0.848
Ce  0.950  0.101  0.503
Se  0.059  0.369  0.703
Se  0.171  0.759  0.025
Se  0.241  0.266  0.412
Se  0.631  0.333  0.689
Se  0.644  0.941  0.311
Se  0.667  0.356  0.297
Se  0.734  0.146  0.975
Se  0.854  0.829  0.588